Theoretical X-ray powder pattern
Compound: RbPuSe4
Radiation: Cu Ka
Structure: a GGA-PBE-relaxed structure
Lines closer than 0.1° are merged.

Atomic structure:
Lattice parameters (Å, degrees): 6.305 6.305 8.758 90.00 90.00 90.00
Element x y z (fractional)
Rb 0.250 0.250 0.000
Rb 0.750 0.750 0.000
Pu 0.250 0.250 0.500
Pu 0.750 0.750 0.500
Se 0.113 0.613 0.301
Se 0.113 0.887 0.699
Se 0.387 0.613 0.699
Se 0.387 0.887 0.301
Se 0.613 0.113 0.699
Se 0.613 0.387 0.301
Se 0.887 0.113 0.301
Se 0.887 0.387 0.699

Principal peaks in the range 5° ≤ 2θ ≤ 70°, most intense first:
d (Å)  two_theta  I (rel.)
3.124  28.57  100
8.758  10.10  87
2.558  35.07  41
1.994  45.49  38
2.684  33.38  38
4.458  19.91  22
3.153  28.31  20
1.483  62.64  19


Theoretical X-ray powder pattern
Compound: CaNbVIr2
Radiation: Cu Ka
Structure: a GGA-PBE-relaxed structure
Lines closer than 0.1° are merged.

Atomic structure:
Lattice parameters (Å, degrees): 6.049 6.049 6.049 137.75 137.75 61.29
Element x y z (fractional)
Ca 0.000 0.000 0.000
Nb 0.750 0.250 0.500
V 0.250 0.750 0.500
Ir 0.375 0.375 0.000
Ir 0.625 0.625 0.000

Principal peaks in the range 5° ≤ 2θ ≤ 70°, most intense first:
d (Å)  two_theta  I (rel.)
4.022  22.10  100
2.715  32.99  71
1.989  45.62  68
2.180  41.42  61
3.083  28.96  37
1.700  53.94  35
1.917  47.44  28
2.653  33.79  24


Theoretical X-ray powder pattern
Compound: Ca4Hg
Radiation: Cu Ka
Structure: a GGA-PBE-relaxed structure
Lines closer than 0.1° are merged.

Atomic structure:
Lattice parameters (Å, degrees): 8.009 8.000 9.858 52.03 51.95 76.02
Element x y z (fractional)
Ca 0.047 0.953 0.199
Ca 0.051 0.449 0.203
Ca 0.107 0.507 0.741
Ca 0.449 0.051 0.297
Ca 0.507 0.107 0.645
Ca 0.509 0.605 0.143
Ca 0.605 0.509 0.743
Ca 0.953 0.047 0.801
Hg 0.653 0.653 0.347
Hg 0.903 0.903 0.597

Principal peaks in the range 5° ≤ 2θ ≤ 70°, most intense first:
d (Å)  two_theta  I (rel.)
6.150  14.40  100
4.929  18.00  75
2.443  36.78  64
2.583  34.73  56
3.032  29.46  56
3.426  26.01  55
3.846  23.13  50
2.535  35.41  30


Theoretical X-ray powder pattern
Compound: Cs2AgS2
Radiation: Cu Ka
Structure: a GGA-PBE-relaxed structure
Lines closer than 0.1° are merged.

Atomic structure:
Lattice parameters (Å, degrees): 8.237 7.082 13.082 90.00 90.00 90.00
Element x y z (fractional)
Cs 0.013 0.250 0.216
Cs 0.188 0.750 0.455
Cs 0.312 0.250 0.955
Cs 0.487 0.750 0.716
Cs 0.513 0.250 0.284
Cs 0.688 0.750 0.045
Cs 0.812 0.250 0.545
Cs 0.987 0.750 0.784
Ag 0.235 0.750 0.151
Ag 0.265 0.250 0.651
Ag 0.735 0.750 0.349
Ag 0.765 0.250 0.849
S 0.031 0.250 0.766
S 0.224 0.250 0.471
S 0.276 0.750 0.971
S 0.469 0.750 0.266
S 0.531 0.250 0.734
S 0.724 0.250 0.029
S 0.776 0.750 0.529
S 0.969 0.750 0.234

Principal peaks in the range 5° ≤ 2θ ≤ 70°, most intense first:
d (Å)  two_theta  I (rel.)
3.541  25.15  100
3.435  25.94  78
3.485  25.56  48
3.385  26.33  41
3.713  23.97  39
2.484  36.16  37
3.040  29.38  29
2.022  44.82  28


Theoretical X-ray powder pattern
Compound: CuSnP2O8
Radiation: Cu Ka
Structure: a GGA-PBE-relaxed structure
Lines closer than 0.1° are merged.

Atomic structure:
Lattice parameters (Å, degrees): 5.026 6.097 10.149 90.00 94.12 90.00
Element x y z (fractional)
Cu 0.143 0.250 0.198
Cu 0.857 0.750 0.802
Sn 0.443 0.250 0.711
Sn 0.557 0.750 0.289
P 0.087 0.750 0.102
P 0.392 0.750 0.597
P 0.608 0.250 0.403
P 0.913 0.250 0.898
O 0.109 0.750 0.954
O 0.207 0.250 0.867
O 0.256 0.558 0.173
O 0.256 0.942 0.173
O 0.258 0.544 0.658
O 0.258 0.956 0.658
O 0.305 0.250 0.374
O 0.325 0.750 0.445
O 0.675 0.250 0.555
O 0.695 0.750 0.626
O 0.742 0.044 0.342
O 0.742 0.456 0.342
O 0.744 0.058 0.827
O 0.744 0.442 0.827
O 0.793 0.750 0.133
O 0.891 0.250 0.046

Principal peaks in the range 5° ≤ 2θ ≤ 70°, most intense first:
d (Å)  two_theta  I (rel.)
3.692  24.10  100
5.061  17.52  91
3.048  29.30  86
3.551  25.07  62
4.626  19.18  55
2.476  36.28  49
2.615  34.29  41
2.996  29.82  38


Theoretical X-ray powder pattern
Compound: LiZn4F8
Radiation: Cu Ka
Structure: a GGA-PBE-relaxed structure
Lines closer than 0.1° are merged.

Atomic structure:
Lattice parameters (Å, degrees): 6.308 6.308 6.308 60.00 60.00 60.00
Element x y z (fractional)
Li 0.000 0.000 0.000
Zn 0.127 0.624 0.624
Zn 0.624 0.127 0.624
Zn 0.624 0.624 0.127
Zn 0.624 0.624 0.624
F 0.390 0.390 0.390
F 0.390 0.390 0.829
F 0.390 0.829 0.390
F 0.395 0.868 0.868
F 0.829 0.390 0.390
F 0.868 0.395 0.868
F 0.868 0.868 0.395
F 0.868 0.868 0.868

Principal peaks in the range 5° ≤ 2θ ≤ 70°, most intense first:
d (Å)  two_theta  I (rel.)
5.150  17.22  100
2.230  40.45  64
2.690  33.31  48
1.577  58.53  39
1.717  53.37  21
1.508  61.50  18
2.046  44.26  14
2.575  34.84  12